The following is a computed X-ray diffraction stick pattern of CdFeCl14. It was derived from DFT lattice parameters and positions (PBE), using Cu Kα, 1.54184 Å.
Intensities are scaled so that the largest is 100.

The 10 most intense peaks (10 to 80 degrees two-theta), by angle:
| 2θ/deg | d_spacing | I_rel | (hkl) |
| --- | --- | --- | --- |
| 10.8 | 8.178 | 52 | 0 1 0 |
| 13.6 | 6.533 | 44 | 1 0 0 |
| 14.1 | 6.265 | 100 | 1 1 0 |
| 14.8 | 5.987 | 76 | 0 1 -1 |
| 19.6 | 4.535 | 67 | 0 1 2 |
| 21.0 | 4.227 | 90 | 1 -1 1 |
| 25.3 | 3.518 | 27 | 1 1 3 |
| 26.3 | 3.382 | 37 | 2 0 1 |
| 26.6 | 3.346 | 41 | 0 0 3 |
| 27.5 | 3.241 | 28 | 0 1 3 |

Structural model:
```
data_CdFeCl14
_chemical_formula_sum 'Cd1 Fe1 Cl14'
_space_group_name_H-M_alt 'P 1'
_space_group_IT_number 1
_cell_length_a 7.3894
_cell_length_b 8.9751
_cell_length_c 10.7407
_cell_angle_alpha 76.10
_cell_angle_beta 70.35
_cell_angle_gamma 66.68
loop_
_space_group_symop_operation_xyz
'x,y,z'
loop_
_atom_site_label
_atom_site_fract_x
_atom_site_fract_y
_atom_site_fract_z
Cd1 0.0000 0.0000 0.0000
Fe1 0.2150 0.7341 0.6767
Cl1 0.0917 0.4452 0.3991
Cl2 0.2582 0.1130 0.0259
Cl3 0.2970 0.8828 0.7705
Cl4 0.3050 0.4993 0.7857
Cl5 0.3442 0.7975 0.4713
Cl6 0.3760 0.5722 0.2381
Cl7 0.5523 0.9353 0.0510
Cl8 0.5735 0.4279 0.0853
Cl9 0.8149 0.2646 0.8931
Cl10 0.8352 0.9776 0.2882
Cl11 0.8409 0.1469 0.3840
Cl12 0.8541 0.3714 0.5214
Cl13 0.8918 0.7572 0.0763
Cl14 0.9077 0.7763 0.6866
```

---

The following is a computed X-ray diffraction stick pattern of Cd3FeCl8. It was derived from DFT lattice parameters and positions (PBE), using Cu Kα, 1.54184 Å.
Intensities are scaled so that the largest is 100.

The 10 most intense peaks (10 to 80 degrees two-theta), by angle:
| 2θ/deg | d_spacing | I_rel | (hkl) |
| --- | --- | --- | --- |
| 15.1 | 5.861 | 70 | 0 0 2 |
| 15.2 | 5.821 | 81 | 1 0 1 |
| 20.1 | 4.413 | 26 | 1 0 2 |
| 27.6 | 3.226 | 94 | 2 0 1 |
| 30.7 | 2.910 | 73 | 2 0 2 |
| 35.3 | 2.545 | 100 | 2 0 3 |
| 40.9 | 2.207 | 29 | 2 0 4 |
| 46.9 | 1.936 | 63 | 2 2 0 |
| 47.3 | 1.921 | 54 | 2 0 5 |
| 49.6 | 1.838 | 27 | 2 2 2 |

Structural model:
```
data_Cd3FeCl8
_chemical_formula_sum 'Cd6 Fe2 Cl16'
_space_group_name_H-M_alt 'P 63 m c'
_space_group_IT_number 186
_space_group_name_Hall 'P 6c -2c'
_cell_length_a 7.7437
_cell_length_b 7.7437
_cell_length_c 11.7215
_cell_angle_alpha 90.00
_cell_angle_beta 90.00
_cell_angle_gamma 120.00
loop_
_atom_site_label
_atom_site_fract_x
_atom_site_fract_y
_atom_site_fract_z
Cd1 0.1688 0.3376 0.0000
Fe1 0.3333 0.6667 0.2680
Cl1 0.0000 0.0000 0.1163
Cl2 0.0356 0.5178 0.1416
Cl3 0.1750 0.3500 0.3832
Cl4 0.3333 0.6667 0.8756
```

---

The following is a computed X-ray diffraction stick pattern of CdFe2Cl8. It was derived from DFT lattice parameters and positions (PBE), using Cu Kα, 1.54184 Å.
Intensities are scaled so that the largest is 100.

The 10 most intense peaks (10 to 80 degrees two-theta), by angle:
| 2θ/deg | d_spacing | I_rel | (hkl) |
| --- | --- | --- | --- |
| 12.0 | 7.405 | 100 | 1 1 0 |
| 19.2 | 4.622 | 76 | 0 2 0 |
| 21.2 | 4.199 | 25 | 2 0 1 |
| 27.3 | 3.264 | 46 | 2 2 -1 |
| 28.7 | 3.110 | 31 | 3 1 1 |
| 36.7 | 2.450 | 21 | 2 2 -2 |
| 38.5 | 2.340 | 15 | 3 3 -1 |
| 39.1 | 2.306 | 13 | 0 4 0 |
| 47.0 | 1.932 | 15 | 5 3 0 |
| 48.2 | 1.889 | 18 | 6 2 0 |

Structural model:
```
data_CdFe2Cl8
_chemical_formula_sum 'Cd2 Fe4 Cl16'
_space_group_name_H-M_alt 'C 1 2/m 1'
_space_group_IT_number 12
_cell_length_a 12.4818
_cell_length_b 9.2212
_cell_length_c 6.2454
_cell_angle_alpha 90.00
_cell_angle_beta 95.47
_cell_angle_gamma 90.00
loop_
_space_group_symop_operation_xyz
'x,y,z'
'-x,-y,-z'
'-x,y,-z'
'x,-y,z'
'x+1/2,y+1/2,z'
'-x+1/2,-y+1/2,-z'
'-x+1/2,y+1/2,-z'
'x+1/2,-y+1/2,z'
loop_
_atom_site_label
_atom_site_fract_x
_atom_site_fract_y
_atom_site_fract_z
Cd1 0.0000 0.0000 0.0000
Fe1 0.1892 0.0000 0.6374
Cl1 0.1001 0.1893 0.7636
Cl2 0.1435 0.5000 0.2460
Cl3 0.1790 0.0000 0.2783
```

---

The following is a computed X-ray diffraction stick pattern of Cd2FeNiCl. It was derived from DFT lattice parameters and positions (PBE), using Cu Kα, 1.54184 Å.
Intensities are scaled so that the largest is 100.

The 10 most intense peaks (10 to 80 degrees two-theta), by angle:
| 2θ/deg | d_spacing | I_rel | (hkl) |
| --- | --- | --- | --- |
| 21.4 | 4.146 | 33 | 0 0 1 |
| 27.5 | 3.245 | 16 | 1 0 1 |
| 32.5 | 2.755 | 100 | 1 1 1 |
| 34.4 | 2.607 | 88 | 2 0 0 |
| 40.9 | 2.207 | 25 | 2 0 1 |
| 43.7 | 2.073 | 22 | 0 0 2 |
| 49.4 | 1.843 | 30 | 2 2 0 |
| 56.7 | 1.622 | 39 | 2 0 2 |
| 60.4 | 1.532 | 31 | 3 1 1 |
| 68.1 | 1.377 | 22 | 2 2 2 |

Structural model:
```
data_Cd2FeNiCl
_chemical_formula_sum 'Cd2 Fe1 Ni1 Cl1'
_space_group_name_H-M_alt 'P 4/m m m'
_space_group_IT_number 123
_space_group_name_Hall '-P 4 2'
_cell_length_a 5.2139
_cell_length_b 5.2139
_cell_length_c 4.1457
_cell_angle_alpha 90.00
_cell_angle_beta 90.00
_cell_angle_gamma 90.00
loop_
_atom_site_label
_atom_site_fract_x
_atom_site_fract_y
_atom_site_fract_z
Cd1 0.0000 0.5000 0.0000
Fe1 0.0000 0.0000 0.0000
Ni1 0.5000 0.5000 0.5000
Cl1 0.0000 0.0000 0.5000
```

---

The following is a computed X-ray diffraction stick pattern of CdGa2Cl4. It was derived from DFT lattice parameters and positions (PBE), using Cu Kα, 1.54184 Å.
Intensities are scaled so that the largest is 100.

The 10 most intense peaks (10 to 80 degrees two-theta), by angle:
| 2θ/deg | d_spacing | I_rel | (hkl) |
| --- | --- | --- | --- |
| 13.0 | 6.816 | 100 | 1 1 0 |
| 24.7 | 3.608 | 39 | 1 3 0 |
| 25.6 | 3.485 | 51 | 1 1 1 |
| 31.7 | 2.826 | 30 | 1 4 0 |
| 31.8 | 2.815 | 77 | 2 1 1 |
| 34.4 | 2.609 | 39 | 2 2 1 |
| 44.7 | 2.028 | 23 | 0 0 2 |
| 45.2 | 2.007 | 47 | 1 5 1 |
| 45.8 | 1.982 | 26 | 3 3 1 |
| 46.4 | 1.956 | 22 | 4 2 0 |

Structural model:
```
data_CdGa2Cl4
_chemical_formula_sum 'Cd2 Ga4 Cl8'
_space_group_name_H-M_alt 'P b a m'
_space_group_IT_number 55
_cell_length_a 8.2722
_cell_length_b 12.0274
_cell_length_c 4.0554
_cell_angle_alpha 90.00
_cell_angle_beta 90.00
_cell_angle_gamma 90.00
loop_
_space_group_symop_operation_xyz
'x,y,z'
'-x,-y,-z'
'-x,-y,z'
'x,y,-z'
'x+1/2,-y+1/2,-z'
'-x+1/2,y+1/2,z'
'-x+1/2,y+1/2,-z'
'x+1/2,-y+1/2,z'
loop_
_atom_site_label
_atom_site_fract_x
_atom_site_fract_y
_atom_site_fract_z
Cd1 0.0000 0.0000 0.0000
Ga1 0.1079 0.2942 0.5000
Cl1 0.1289 0.8005 0.0000
Cl2 0.1940 0.0682 0.5000
```

---

The following is a computed X-ray diffraction stick pattern of CdGaICl4. It was derived from DFT lattice parameters and positions (PBE), using Cu Kα, 1.54184 Å.
Intensities are scaled so that the largest is 100.

The 10 most intense peaks (10 to 80 degrees two-theta), by angle:
| 2θ/deg | d_spacing | I_rel | (hkl) |
| --- | --- | --- | --- |
| 13.2 | 6.714 | 45 | 1 1 0 |
| 13.7 | 6.456 | 55 | 2 0 -1 |
| 16.5 | 5.380 | 100 | 1 1 1 |
| 19.1 | 4.640 | 30 | 0 0 2 |
| 21.6 | 4.106 | 26 | 3 1 -1 |
| 24.4 | 3.655 | 48 | 0 2 0 |
| 26.6 | 3.357 | 31 | 2 2 0 |
| 32.1 | 2.785 | 36 | 1 1 3 |
| 39.1 | 2.302 | 25 | 7 1 0 |
| 41.1 | 2.199 | 34 | 6 2 -1 |

Structural model:
```
data_CdGaICl4
_chemical_formula_sum 'Cd4 Ga4 I4 Cl16'
_space_group_name_H-M_alt 'C 1 2/m 1'
_space_group_IT_number 12
_cell_length_a 17.0058
_cell_length_b 7.3101
_cell_length_c 9.2954
_cell_angle_alpha 90.00
_cell_angle_beta 93.39
_cell_angle_gamma 90.00
loop_
_space_group_symop_operation_xyz
'x,y,z'
'-x,-y,-z'
'-x,y,-z'
'x,-y,z'
'x+1/2,y+1/2,z'
'-x+1/2,-y+1/2,-z'
'-x+1/2,y+1/2,-z'
'x+1/2,-y+1/2,z'
loop_
_atom_site_label
_atom_site_fract_x
_atom_site_fract_y
_atom_site_fract_z
Cd1 0.0911 0.0000 0.1059
Ga1 0.1349 0.5000 0.2885
I1 0.0625 0.0000 0.8023
Cl1 0.0108 0.5000 0.2302
Cl2 0.1749 0.5000 0.5112
Cl3 0.1911 0.2568 0.1775
```

---

The following is a computed X-ray diffraction stick pattern of RbCdGa2Cl8. It was derived from DFT lattice parameters and positions (PBE), using Cu Kα, 1.54184 Å.
Intensities are scaled so that the largest is 100.

The 10 most intense peaks (10 to 80 degrees two-theta), by angle:
| 2θ/deg | d_spacing | I_rel | (hkl) |
| --- | --- | --- | --- |
| 19.5 | 4.543 | 100 | 1 0 4 |
| 26.5 | 3.361 | 46 | 1 1 0 |
| 28.1 | 3.175 | 30 | 2 -1 3 |
| 29.0 | 3.083 | 38 | 0 1 8 |
| 32.4 | 2.761 | 30 | 1 1 6 |
| 33.2 | 2.702 | 25 | 0 2 4 |
| 43.0 | 2.106 | 25 | 3 -1 4 |
| 46.2 | 1.965 | 38 | 2 -1 12 |
| 46.8 | 1.940 | 33 | 3 0 0 |
| 48.4 | 1.882 | 15 | 3 -2 8 |

Structural model:
```
data_RbCdGa2Cl8
_chemical_formula_sum 'Rb3 Cd3 Ga6 Cl24'
_space_group_name_H-M_alt 'R -3'
_space_group_IT_number 148
_space_group_name_Hall '-R 3'
_cell_length_a 6.7214
_cell_length_b 6.7214
_cell_length_c 29.0715
_cell_angle_alpha 90.00
_cell_angle_beta 90.00
_cell_angle_gamma 120.00
loop_
_atom_site_label
_atom_site_fract_x
_atom_site_fract_y
_atom_site_fract_z
Rb1 0.0000 0.0000 0.0000
Cd1 0.0000 0.0000 0.5000
Ga1 0.0000 0.0000 0.2533
Cl1 0.0000 0.0000 0.3290
Cl2 0.0066 0.3719 0.4375
```

---

The following is a computed X-ray diffraction stick pattern of Cd2GeCl. It was derived from DFT lattice parameters and positions (PBE), using Cu Kα, 1.54184 Å.
Intensities are scaled so that the largest is 100.

The 10 most intense peaks (10 to 80 degrees two-theta), by angle:
| 2θ/deg | d_spacing | I_rel | (hkl) |
| --- | --- | --- | --- |
| 21.5 | 4.136 | 3 | 1 1 1 |
| 24.9 | 3.582 | 15 | 2 0 0 |
| 35.4 | 2.533 | 100 | 2 2 0 |
| 41.8 | 2.160 | 2 | 3 1 1 |
| 43.8 | 2.068 | 4 | 2 2 2 |
| 51.0 | 1.791 | 17 | 4 0 0 |
| 56.0 | 1.643 | 1 | 3 3 1 |
| 57.5 | 1.602 | 6 | 4 2 0 |
| 63.6 | 1.462 | 34 | 4 2 2 |
| 75.0 | 1.266 | 10 | 4 4 0 |

Structural model:
```
data_Cd2GeCl
_chemical_formula_sum 'Cd8 Ge4 Cl4'
_space_group_name_H-M_alt 'F m -3 m'
_space_group_IT_number 225
_space_group_name_Hall '-F 4 2 3'
_cell_length_a 7.1634
_cell_length_b 7.1634
_cell_length_c 7.1634
_cell_angle_alpha 90.00
_cell_angle_beta 90.00
_cell_angle_gamma 90.00
loop_
_atom_site_label
_atom_site_fract_x
_atom_site_fract_y
_atom_site_fract_z
Cd1 0.2500 0.2500 0.2500
Ge1 0.0000 0.0000 0.0000
Cl1 0.0000 0.0000 0.5000
```

---

The following is a computed X-ray diffraction stick pattern of CdH2Cl2O. It was derived from DFT lattice parameters and positions (PBE), using Cu Kα, 1.54184 Å.
Intensities are scaled so that the largest is 100.

The 10 most intense peaks (10 to 80 degrees two-theta), by angle:
| 2θ/deg | d_spacing | I_rel | (hkl) |
| --- | --- | --- | --- |
| 14.4 | 6.163 | 100 | 1 1 0 |
| 20.8 | 4.263 | 15 | 0 2 0 |
| 29.8 | 3.003 | 16 | 1 1 2 |
| 31.8 | 2.810 | 10 | 3 1 0 |
| 32.9 | 2.723 | 16 | 2 0 2 |
| 33.5 | 2.676 | 8 | 0 2 2 |
| 39.3 | 2.295 | 18 | 2 2 2 |
| 41.5 | 2.175 | 18 | 3 1 2 |
| 42.5 | 2.128 | 13 | 1 3 2 |
| 47.3 | 1.923 | 7 | 2 4 0 |

Structural model:
```
data_CdH2Cl2O
_chemical_formula_sum 'Cd4 H8 Cl8 O4'
_space_group_name_H-M_alt 'C m c m'
_space_group_IT_number 63
_space_group_name_Hall '-C 2c 2'
_cell_length_a 8.9201
_cell_length_b 8.5256
_cell_length_c 6.8772
_cell_angle_alpha 90.00
_cell_angle_beta 90.00
_cell_angle_gamma 90.00
loop_
_atom_site_label
_atom_site_fract_x
_atom_site_fract_y
_atom_site_fract_z
Cd1 0.0000 0.0000 0.0000
H1 0.0899 0.2826 0.2500
Cl1 0.1969 0.1023 0.7500
O1 0.0000 0.2139 0.2500
```

---

The following is a computed X-ray diffraction stick pattern of Cd2H3ClO3. It was derived from DFT lattice parameters and positions (PBE), using Cu Kα, 1.54184 Å.
Intensities are scaled so that the largest is 100.

The 10 most intense peaks (10 to 80 degrees two-theta), by angle:
| 2θ/deg | d_spacing | I_rel | (hkl) |
| --- | --- | --- | --- |
| 14.6 | 6.057 | 100 | 0 1 1 |
| 15.6 | 5.692 | 75 | 1 0 1 |
| 28.2 | 3.164 | 51 | 1 2 1 |
| 28.3 | 3.151 | 21 | 2 1 0 |
| 29.2 | 3.053 | 26 | 0 1 3 |
| 29.5 | 3.028 | 30 | 0 2 2 |
| 29.7 | 3.004 | 26 | 1 0 3 |
| 35.0 | 2.561 | 51 | 2 2 0 |
| 35.9 | 2.500 | 31 | 0 0 4 |
| 51.1 | 1.789 | 26 | 2 2 4 |

Structural model:
```
data_Cd2H3ClO3
_chemical_formula_sum 'Cd8 H12 Cl4 O12'
_space_group_name_H-M_alt 'P n m a'
_space_group_IT_number 62
_cell_length_a 6.9234
_cell_length_b 7.6116
_cell_length_c 9.9996
_cell_angle_alpha 90.00
_cell_angle_beta 90.00
_cell_angle_gamma 90.00
loop_
_space_group_symop_operation_xyz
'x,y,z'
'-x,-y,-z'
'-x+1/2,-y,z+1/2'
'x+1/2,y,-z+1/2'
'x+1/2,-y+1/2,-z+1/2'
'-x+1/2,y+1/2,z+1/2'
'-x,y+1/2,-z'
'x,-y+1/2,z'
loop_
_atom_site_label
_atom_site_fract_x
_atom_site_fract_y
_atom_site_fract_z
Cd1 0.0000 0.0000 0.0000
Cd2 0.1820 0.2500 0.2658
H1 0.0831 0.0458 0.7215
H2 0.1953 0.7500 0.4872
Cl1 0.1885 0.2500 0.5425
O1 0.0644 0.5546 0.7812
O2 0.1763 0.2500 0.0276
```

---

The following is a computed X-ray diffraction stick pattern of CdH2SCl2. It was derived from DFT lattice parameters and positions (PBE), using Cu Kα, 1.54184 Å.
Intensities are scaled so that the largest is 100.

The 10 most intense peaks (10 to 80 degrees two-theta), by angle:
| 2θ/deg | d_spacing | I_rel | (hkl) |
| --- | --- | --- | --- |
| 13.5 | 6.564 | 100 | 1 1 0 |
| 16.7 | 5.320 | 36 | 2 0 0 |
| 19.3 | 4.603 | 20 | 1 1 1 |
| 25.4 | 3.503 | 32 | 0 2 1 |
| 30.6 | 2.926 | 29 | 2 2 1 |
| 30.7 | 2.913 | 24 | 3 1 1 |
| 30.9 | 2.897 | 20 | 1 1 2 |
| 36.2 | 2.483 | 18 | 1 3 1 |
| 39.3 | 2.295 | 32 | 3 1 2 |
| 43.7 | 2.072 | 20 | 3 3 1 |

Structural model:
```
data_CdH2SCl2
_chemical_formula_sum 'Cd4 H8 S4 Cl8'
_space_group_name_H-M_alt 'C m c 21'
_space_group_IT_number 36
_cell_length_a 10.6407
_cell_length_b 8.3401
_cell_length_c 6.4558
_cell_angle_alpha 90.00
_cell_angle_beta 90.00
_cell_angle_gamma 90.00
loop_
_space_group_symop_operation_xyz
'x,y,z'
'-x,-y,z+1/2'
'-x,y,z'
'x,-y,z+1/2'
'x+1/2,y+1/2,z'
'-x+1/2,-y+1/2,z+1/2'
'-x+1/2,y+1/2,z'
'x+1/2,-y+1/2,z+1/2'
loop_
_atom_site_label
_atom_site_fract_x
_atom_site_fract_y
_atom_site_fract_z
Cd1 0.0000 0.0882 0.0000
H1 0.0924 0.2900 0.3714
S1 0.0000 0.3449 0.2445
Cl1 0.1609 0.0999 0.6992
```

---

The following is a computed X-ray diffraction stick pattern of Cd3HgCl8. It was derived from DFT lattice parameters and positions (PBE), using Cu Kα, 1.54184 Å.
Intensities are scaled so that the largest is 100.

The 10 most intense peaks (10 to 80 degrees two-theta), by angle:
| 2θ/deg | d_spacing | I_rel | (hkl) |
| --- | --- | --- | --- |
| 14.0 | 6.330 | 100 | 2 0 -1 |
| 26.6 | 3.351 | 37 | 0 2 1 |
| 26.7 | 3.337 | 21 | 2 0 1 |
| 32.3 | 2.773 | 54 | 2 2 -2 |
| 32.6 | 2.746 | 27 | 4 0 0 |
| 35.6 | 2.525 | 15 | 4 2 -1 |
| 42.5 | 2.128 | 16 | 4 2 -3 |
| 42.9 | 2.108 | 10 | 6 0 -1 |
| 46.3 | 1.963 | 29 | 2 2 2 |
| 46.8 | 1.940 | 18 | 6 2 -2 |

Structural model:
```
data_Cd3HgCl8
_chemical_formula_sum 'Cd6 Hg2 Cl16'
_space_group_name_H-M_alt 'C 1 2/m 1'
_space_group_IT_number 12
_cell_length_a 13.3903
_cell_length_b 7.8544
_cell_length_c 7.8342
_cell_angle_alpha 90.00
_cell_angle_beta 124.88
_cell_angle_gamma 90.00
loop_
_space_group_symop_operation_xyz
'x,y,z'
'-x,-y,-z'
'-x,y,-z'
'x,-y,z'
'x+1/2,y+1/2,z'
'-x+1/2,-y+1/2,-z'
'-x+1/2,y+1/2,-z'
'x+1/2,-y+1/2,z'
loop_
_atom_site_label
_atom_site_fract_x
_atom_site_fract_y
_atom_site_fract_z
Cd1 0.0000 0.0000 0.0000
Cd2 0.2500 0.2500 0.5000
Hg1 0.0000 0.5000 0.0000
Cl1 0.0069 0.2461 0.2427
Cl2 0.2437 0.0000 0.2608
Cl3 0.2469 0.5000 0.2647
```

---

Please write out number 1 again, unchanged.
The following is a computed X-ray diffraction stick pattern of CdFeCl14. It was derived from DFT lattice parameters and positions (PBE), using Cu Kα, 1.54184 Å.
Intensities are scaled so that the largest is 100.

The 10 most intense peaks (10 to 80 degrees two-theta), by angle:
| 2θ/deg | d_spacing | I_rel | (hkl) |
| --- | --- | --- | --- |
| 10.8 | 8.178 | 52 | 0 1 0 |
| 13.6 | 6.533 | 44 | 1 0 0 |
| 14.1 | 6.265 | 100 | 1 1 0 |
| 14.8 | 5.987 | 76 | 0 1 -1 |
| 19.6 | 4.535 | 67 | 0 1 2 |
| 21.0 | 4.227 | 90 | 1 -1 1 |
| 25.3 | 3.518 | 27 | 1 1 3 |
| 26.3 | 3.382 | 37 | 2 0 1 |
| 26.6 | 3.346 | 41 | 0 0 3 |
| 27.5 | 3.241 | 28 | 0 1 3 |

Structural model:
```
data_CdFeCl14
_chemical_formula_sum 'Cd1 Fe1 Cl14'
_space_group_name_H-M_alt 'P 1'
_space_group_IT_number 1
_cell_length_a 7.3894
_cell_length_b 8.9751
_cell_length_c 10.7407
_cell_angle_alpha 76.10
_cell_angle_beta 70.35
_cell_angle_gamma 66.68
loop_
_space_group_symop_operation_xyz
'x,y,z'
loop_
_atom_site_label
_atom_site_fract_x
_atom_site_fract_y
_atom_site_fract_z
Cd1 0.0000 0.0000 0.0000
Fe1 0.2150 0.7341 0.6767
Cl1 0.0917 0.4452 0.3991
Cl2 0.2582 0.1130 0.0259
Cl3 0.2970 0.8828 0.7705
Cl4 0.3050 0.4993 0.7857
Cl5 0.3442 0.7975 0.4713
Cl6 0.3760 0.5722 0.2381
Cl7 0.5523 0.9353 0.0510
Cl8 0.5735 0.4279 0.0853
Cl9 0.8149 0.2646 0.8931
Cl10 0.8352 0.9776 0.2882
Cl11 0.8409 0.1469 0.3840
Cl12 0.8541 0.3714 0.5214
Cl13 0.8918 0.7572 0.0763
Cl14 0.9077 0.7763 0.6866
```

---

Number 7 is which compound? RbCdGa2Cl8